Simulated PXRD pattern
Compound: Fe5O2F8
Radiation: λ = 1.5418 Å (Cu Kα)
Structure: DFT lattice parameters and positions (PBE+U)

The 10 most intense peaks (2θ from 5° to 70°), low angle first:
2θ = 26.06°, intensity 1000, (1 1 2)
2θ = 26.47°, intensity 965, (-1 1 2)
2θ = 33.59°, intensity 833, (1 1 -3)
2θ = 33.69°, intensity 289, (0 0 5)
2θ = 50.92°, intensity 334, (2 2 -1)
2θ = 51.06°, intensity 328, (1 1 7)
2θ = 51.38°, intensity 294, (2 -2 1)
2θ = 51.53°, intensity 296, (-1 1 7)
2θ = 57.47°, intensity 198, (0 2 -6)
2θ = 65.15°, intensity 212, (3 1 -3)

abc: 4.802 5.780 13.557
angles: 78.90 89.36 89.27
Space group P1 (No. 1)
Symmetry-distinct sites (fractional):
1 Fe 0.000 0.000 0.000 [1 per cell]
2 Fe 0.000 0.435 0.805 [1 per cell]
3 Fe 0.447 0.531 0.993 [1 per cell]
4 Fe 0.477 0.904 0.801 [1 per cell]
5 Fe 0.490 0.123 0.196 [1 per cell]
6 Fe 0.505 0.713 0.391 [1 per cell]
7 Fe 0.510 0.312 0.597 [1 per cell]
8 Fe 0.954 0.243 0.401 [1 per cell]
9 Fe 0.985 0.837 0.592 [1 per cell]
10 Fe 0.993 0.615 0.196 [1 per cell]
11 O 0.189 0.685 0.071 [1 per cell]
12 O 0.294 0.595 0.865 [1 per cell]
13 O 0.784 0.156 0.531 [1 per cell]
14 O 0.806 0.534 0.331 [1 per cell]
15 F 0.175 0.097 0.855 [1 per cell]
16 F 0.190 0.299 0.261 [1 per cell]
17 F 0.190 0.923 0.447 [1 per cell]
18 F 0.200 0.502 0.650 [1 per cell]
19 F 0.283 0.803 0.257 [1 per cell]
20 F 0.285 0.396 0.463 [1 per cell]
21 F 0.288 0.207 0.056 [1 per cell]
22 F 0.296 0.018 0.651 [1 per cell]
23 F 0.677 0.633 0.542 [1 per cell]
24 F 0.682 0.253 0.732 [1 per cell]
25 F 0.682 0.828 0.946 [1 per cell]
26 F 0.692 0.441 0.134 [1 per cell]
27 F 0.702 0.044 0.336 [1 per cell]
28 F 0.772 0.330 0.946 [1 per cell]
29 F 0.793 0.927 0.146 [1 per cell]
30 F 0.794 0.751 0.733 [1 per cell]

Simulated PXRD pattern
Compound: Fe2O3F
Radiation: λ = 1.5418 Å (Cu Kα)
Structure: DFT lattice parameters and positions (PBE+U)

The 10 most intense peaks (2θ from 5° to 70°), low angle first:
2θ = 26.83°, intensity 1000, (-1 1 1)
2θ = 27.28°, intensity 984, (1 1 1)
2θ = 35.26°, intensity 256, (0 0 5)
2θ = 35.41°, intensity 516, (1 1 -4)
2θ = 35.53°, intensity 263, (0 2 -3)
2θ = 38.63°, intensity 193, (0 2 2)
2θ = 53.78°, intensity 292, (1 3 -2)
2θ = 56.28°, intensity 163, (2 2 2)
2θ = 61.36°, intensity 162, (0 2 -8)
2θ = 67.88°, intensity 193, (3 -1 4)

abc: 4.657 5.539 12.990
angles: 101.56 90.38 90.76
Space group P1 (No. 1)
Symmetry-distinct sites (fractional):
1 Fe 0.000 0.000 0.000 [1 per cell]
2 Fe 0.001 0.602 0.402 [1 per cell]
3 Fe 0.014 0.390 0.596 [1 per cell]
4 Fe 0.024 0.809 0.209 [1 per cell]
5 Fe 0.463 0.920 0.608 [1 per cell]
6 Fe 0.482 0.705 0.807 [1 per cell]
7 Fe 0.499 0.502 0.001 [1 per cell]
8 Fe 0.512 0.102 0.399 [1 per cell]
9 Fe 0.522 0.294 0.192 [1 per cell]
10 Fe 0.971 0.196 0.793 [1 per cell]
11 O 0.188 0.453 0.736 [1 per cell]
12 O 0.188 0.656 0.539 [1 per cell]
13 O 0.194 0.056 0.138 [1 per cell]
14 O 0.207 0.857 0.346 [1 per cell]
15 O 0.296 0.954 0.745 [1 per cell]
16 O 0.297 0.755 0.946 [1 per cell]
17 O 0.313 0.157 0.533 [1 per cell]
18 O 0.314 0.552 0.135 [1 per cell]
19 O 0.685 0.452 0.866 [1 per cell]
20 O 0.696 0.051 0.263 [1 per cell]
21 O 0.702 0.247 0.054 [1 per cell]
22 O 0.796 0.146 0.654 [1 per cell]
23 O 0.801 0.946 0.863 [1 per cell]
24 O 0.811 0.345 0.459 [1 per cell]
25 O 0.814 0.551 0.266 [1 per cell]
26 F 0.189 0.258 0.935 [1 per cell]
27 F 0.309 0.361 0.337 [1 per cell]
28 F 0.687 0.649 0.661 [1 per cell]
29 F 0.694 0.840 0.465 [1 per cell]
30 F 0.806 0.746 0.067 [1 per cell]

Simulated PXRD pattern
Compound: Fe5O8F2
Radiation: λ = 1.5418 Å (Cu Kα)
Structure: DFT lattice parameters and positions (PBE+U)

The 10 most intense peaks (2θ from 5° to 70°), low angle first:
2θ = 27.01°, intensity 1000, (1 1 -2)
2θ = 35.50°, intensity 514, (1 0 3)
2θ = 40.57°, intensity 137, (3 1 -1)
2θ = 53.39°, intensity 423, (0 1 5)
2θ = 53.49°, intensity 143, (4 1 -3)
2θ = 55.69°, intensity 155, (2 2 -4)
2θ = 61.66°, intensity 78, (4 0 2)
2θ = 67.70°, intensity 94, (2 3 1)
2θ = 67.90°, intensity 100, (1 0 -7)
2θ = 68.55°, intensity 112, (3 1 4)

abc: 7.607 4.676 9.799
angles: 90.00 109.84 90.00
Space group P2_1 (No. 4)
Symmetry-distinct sites (fractional):
1 Fe 0.039 0.000 0.149 [2 per cell]
2 Fe 0.141 0.487 0.442 [2 per cell]
3 Fe 0.251 0.027 0.756 [2 per cell]
4 Fe 0.352 0.539 0.048 [2 per cell]
5 Fe 0.441 0.976 0.362 [2 per cell]
6 O 0.026 0.810 0.736 [2 per cell]
7 O 0.094 0.192 0.577 [2 per cell]
8 O 0.116 0.707 0.031 [2 per cell]
9 O 0.199 0.805 0.325 [2 per cell]
10 O 0.205 0.326 0.885 [2 per cell]
11 O 0.381 0.301 0.468 [2 per cell]
12 O 0.418 0.836 0.924 [2 per cell]
13 O 0.492 0.201 0.771 [2 per cell]
14 F 0.288 0.204 0.176 [2 per cell]
15 F 0.314 0.695 0.628 [2 per cell]

Simulated PXRD pattern
Compound: Fe4O7F
Radiation: λ = 1.5418 Å (Cu Kα)
Structure: DFT lattice parameters and positions (PBE+U)

The 10 most intense peaks (2θ from 5° to 70°), low angle first:
2θ = 26.98°, intensity 934, (0 0 2)
2θ = 27.80°, intensity 916, (0 2 0)
2θ = 35.60°, intensity 1000, (2 1 1)
2θ = 39.13°, intensity 192, (0 2 2)
2θ = 53.46°, intensity 561, (2 1 3)
2θ = 54.39°, intensity 536, (2 3 1)
2θ = 55.62°, intensity 154, (0 0 4)
2θ = 57.43°, intensity 148, (0 4 0)
2θ = 61.54°, intensity 153, (4 0 0)
2θ = 68.62°, intensity 375, (2 3 3)

abc: 6.027 6.419 6.610
angles: 90.00 90.00 90.00
Space group Amm2 (No. 38)
Symmetry-distinct sites (fractional):
1 Fe 0.000 0.000 0.000 [2 per cell]
2 Fe 0.241 0.000 0.496 [4 per cell]
3 Fe 0.500 0.000 0.023 [2 per cell]
4 O 0.000 0.000 0.301 [2 per cell]
5 O 0.000 0.000 0.691 [2 per cell]
6 O 0.253 0.193 0.004 [8 per cell]
7 O 0.500 0.000 0.321 [2 per cell]
8 F 0.500 0.000 0.705 [2 per cell]

Simulated PXRD pattern
Compound: Fe3O5F
Radiation: λ = 1.5418 Å (Cu Kα)
Structure: DFT lattice parameters and positions (PBE+U)

The 10 most intense peaks (2θ from 5° to 70°), low angle first:
2θ = 26.61°, intensity 952, (1 1 1)
2θ = 27.77°, intensity 922, (-1 1 1)
2θ = 35.50°, intensity 1000, (0 2 -1)
2θ = 38.84°, intensity 189, (2 0 0)
2θ = 52.96°, intensity 574, (1 3 0)
2θ = 54.28°, intensity 536, (1 -3 0)
2θ = 54.80°, intensity 157, (2 2 2)
2θ = 57.37°, intensity 150, (-2 2 2)
2θ = 61.47°, intensity 156, (0 2 -4)
2θ = 68.17°, intensity 486, (3 1 -2)

abc: 4.642 5.535 7.613
angles: 85.45 88.49 88.01
Space group P1 (No. 1)
Symmetry-distinct sites (fractional):
1 Fe 0.000 0.000 0.000 [1 per cell]
2 Fe 0.004 0.325 0.680 [1 per cell]
3 Fe 0.507 0.500 0.006 [1 per cell]
4 Fe 0.523 0.844 0.679 [1 per cell]
5 Fe 0.527 0.179 0.348 [1 per cell]
6 Fe 0.988 0.655 0.332 [1 per cell]
7 O 0.194 0.291 0.904 [1 per cell]
8 O 0.312 0.795 0.904 [1 per cell]
9 O 0.315 0.132 0.573 [1 per cell]
10 O 0.319 0.463 0.240 [1 per cell]
11 O 0.700 0.539 0.774 [1 per cell]
12 O 0.700 0.871 0.442 [1 per cell]
13 O 0.705 0.205 0.113 [1 per cell]
14 O 0.810 0.036 0.775 [1 per cell]
15 O 0.815 0.711 0.104 [1 per cell]
16 O 0.825 0.370 0.452 [1 per cell]
17 F 0.206 0.963 0.242 [1 per cell]
18 F 0.208 0.637 0.572 [1 per cell]

Simulated PXRD pattern
Compound: Fe4OF7
Radiation: λ = 1.5418 Å (Cu Kα)
Structure: DFT lattice parameters and positions (PBE+U)

The 10 most intense peaks (2θ from 5° to 70°), low angle first:
2θ = 25.82°, intensity 879, (2 0 0)
2θ = 26.07°, intensity 910, (0 2 0)
2θ = 33.70°, intensity 1000, (1 1 4)
2θ = 38.51°, intensity 204, (2 0 4)
2θ = 38.69°, intensity 174, (0 2 4)
2θ = 50.78°, intensity 579, (3 1 4)
2θ = 51.07°, intensity 563, (1 3 4)
2θ = 53.08°, intensity 205, (4 0 0)
2θ = 53.63°, intensity 174, (0 4 0)
2θ = 64.60°, intensity 500, (3 3 4)

abc: 6.901 6.836 12.711
angles: 90.00 90.00 90.00
Space group Cmcm (No. 63)
Symmetry-distinct sites (fractional):
1 Fe 0.000 0.000 0.000 [4 per cell]
2 Fe 0.000 0.020 0.250 [4 per cell]
3 Fe 0.000 0.491 0.135 [8 per cell]
4 O 0.000 0.306 0.250 [4 per cell]
5 F 0.000 0.285 0.750 [4 per cell]
6 F 0.000 0.307 0.502 [8 per cell]
7 F 0.207 0.001 0.122 [16 per cell]

Which formula does entry 5 have?
Fe3O5F